Starting from a PBE-relaxed structure, the powder diffraction line list of Cr3FeW2 was computed for λ = 1.5418 Å (Cu Kα).
Lines closer than 0.1° are merged.

Structural model:
```
Cr3FeW2
1.0
2.367 1.366 3.990
-2.367 1.366 3.990
0.000 -2.733 3.990
Cr Fe W
3 1 2
Direct
0.000 0.500 0.500
0.500 0.000 0.500
0.500 0.500 0.000
0.500 0.500 0.500
0.124 0.124 0.124
0.876 0.876 0.876
```

Top 10 peaks for 10° ≤ 2θ ≤ 90°, in order of rising 2θ:
Position (°2θ)  I (rel.)
22.93  41.9
37.20  79.2
38.02  79.2
43.79  54.3
44.51  100.0
44.87  46.7
68.15  27.3
72.69  23.4
73.22  22.1
79.27  21.9